# 1
# Ca2Ga7Au
Computed X-ray powder pattern, Cu Kα X-rays. Input: a crystal structure in the Materials Project, relaxed with PBE.
No peak broadening, texture or thermal motion is included.

Structure:
Cell: 4.2693 4.2693 11.2902 Å, 90.00 90.00 90.00°
Space group P4mm (No. 99)
Asymmetric unit:
Ca  0.0000  0.0000  0.0000 (multiplicity 1)
Ca  0.5000  0.5000  0.4991 (multiplicity 1)
Ga  0.0000  0.0000  0.3897 (multiplicity 1)
Ga  0.0000  0.0000  0.6099 (multiplicity 1)
Ga  0.0000  0.5000  0.2507 (multiplicity 2)
Ga  0.0000  0.5000  0.7486 (multiplicity 2)
Ga  0.5000  0.5000  0.8869 (multiplicity 1)
Au  0.5000  0.5000  0.1103 (multiplicity 1)

Main lines, by intensity (15° ≤ 2θ ≤ 90°):
2theta	I/Imax	(hkl)
33.67	100	1 1 2
43.91	79	1 1 4
22.26	77	1 0 1
42.34	76	2 0 0
31.69	52	1 0 3
45.44	51	1 0 5
63.84	34	2 1 5
48.35	29	0 0 6
78.54	28	3 1 4
81.81	28	2 0 8
61.43	26	2 2 0
66.21	24	0 0 8

=====

# 2
# CaGeAu
Computed X-ray powder pattern, Cu Kα X-rays. Input: a crystal structure in the Materials Project, relaxed with PBE.
No peak broadening, texture or thermal motion is included.

Structure:
Cell: 21.7645 4.5571 7.8486 Å, 90.00 90.00 90.00°
Space group Pnma (No. 62)
Asymmetric unit:
Ca  0.0006  0.2500  0.2164 (multiplicity 4)
Ca  0.1661  0.2500  0.2913 (multiplicity 4)
Ca  0.1670  0.7500  0.7075 (multiplicity 4)
Ge  0.0691  0.2500  0.5900 (multiplicity 4)
Ge  0.1036  0.7500  0.0862 (multiplicity 4)
Ge  0.2288  0.7500  0.0831 (multiplicity 4)
Au  0.0676  0.7500  0.4159 (multiplicity 4)
Au  0.0942  0.2500  0.9164 (multiplicity 4)
Au  0.2383  0.2500  0.9125 (multiplicity 4)

Main lines, by intensity (15° ≤ 2θ ≤ 90°):
2theta	I/Imax	(hkl)
33.60	100	6 1 1
39.73	80	0 1 3
24.54	54	6 0 0
22.59	50	0 1 1
22.97	48	1 0 2
39.55	44	0 2 0
47.25	43	6 1 3
30.63	33	5 0 2
38.97	29	9 0 1
48.52	23	9 1 2
32.54	21	3 1 2
16.64	20	3 0 1

=====

# 3
# Ca3Ge3Au8
Computed X-ray powder pattern, Cu Kα X-rays. Input: a crystal structure in the Materials Project, relaxed with PBE.
No peak broadening, texture or thermal motion is included.

Structure:
Cell: 9.6101 4.5402 13.5391 Å, 90.00 90.96 90.00°
Space group P2/m (No. 10)
Asymmetric unit:
Ca  0.0000  0.0000  0.0000 (multiplicity 1)
Ca  0.0015  0.0000  0.6890 (multiplicity 2)
Ca  0.4948  0.5000  0.1879 (multiplicity 2)
Ca  0.5000  0.5000  0.5000 (multiplicity 1)
Ge  0.1498  0.5000  0.8149 (multiplicity 2)
Ge  0.2207  0.5000  0.6259 (multiplicity 2)
Ge  0.3487  0.0000  0.3196 (multiplicity 2)
Au  0.0000  0.5000  0.5000 (multiplicity 1)
Au  0.1103  0.5000  0.1592 (multiplicity 2)
Au  0.2056  0.0000  0.4964 (multiplicity 2)
Au  0.2387  0.5000  0.3634 (multiplicity 2)
Au  0.2640  0.0000  0.8623 (multiplicity 2)
Au  0.2799  0.0000  0.1318 (multiplicity 2)
Au  0.2965  0.5000  0.9960 (multiplicity 2)
Au  0.3868  0.0000  0.6605 (multiplicity 2)
Au  0.5000  0.0000  0.0000 (multiplicity 1)

Main lines, by intensity (15° ≤ 2θ ≤ 90°):
2theta	I/Imax	(hkl)
33.84	100	2 1 3
33.46	92	2 1 -3
39.71	86	0 2 0
18.47	56	2 0 0
21.64	54	1 1 0
39.97	52	0 0 6
42.99	43	2 1 -5
43.45	42	3 1 -4
44.06	37	3 1 4
36.64	37	3 1 -2
21.90	32	1 0 3
47.63	30	5 0 -1

=====

# 4
# Ca6Ge7Au15
Computed X-ray powder pattern, Cu Kα X-rays. Input: a crystal structure in the Materials Project, relaxed with PBE.
No peak broadening, texture or thermal motion is included.

Structure:
Cell: 9.5847 4.5547 13.4303 Å, 90.00 90.63 90.00°
Space group Pm (No. 6)
Asymmetric unit:
Ca  0.0000  0.0000  0.0000 (multiplicity 1)
Ca  0.0009  0.0000  0.3776 (multiplicity 1)
Ca  0.0071  0.0000  0.6893 (multiplicity 1)
Ca  0.4954  0.5000  0.8769 (multiplicity 1)
Ca  0.4990  0.5000  0.1900 (multiplicity 1)
Ca  0.5016  0.5000  0.4984 (multiplicity 1)
Ge  0.1461  0.5000  0.5027 (multiplicity 1)
Ge  0.2205  0.5000  0.3134 (multiplicity 1)
Ge  0.3508  0.0000  0.0091 (multiplicity 1)
Ge  0.6498  0.0000  0.3709 (multiplicity 1)
Ge  0.7294  0.0000  0.5622 (multiplicity 1)
Ge  0.7778  0.5000  0.0647 (multiplicity 1)
Ge  0.8500  0.5000  0.8710 (multiplicity 1)
Au  0.9996  0.5000  0.1889 (multiplicity 1)
Au  0.1113  0.5000  0.8476 (multiplicity 1)
Au  0.2061  0.0000  0.1842 (multiplicity 1)
Au  0.2394  0.5000  0.0511 (multiplicity 1)
Au  0.2604  0.0000  0.5493 (multiplicity 1)
Au  0.2876  0.0000  0.8197 (multiplicity 1)
Au  0.2985  0.5000  0.6831 (multiplicity 1)
Au  0.3843  0.0000  0.3488 (multiplicity 1)
Au  0.5053  0.0000  0.6798 (multiplicity 1)
Au  0.6148  0.0000  0.0293 (multiplicity 1)
Au  0.7021  0.5000  0.6936 (multiplicity 1)
Au  0.7381  0.0000  0.8296 (multiplicity 1)
Au  0.7585  0.5000  0.3302 (multiplicity 1)
Au  0.8000  0.0000  0.1926 (multiplicity 1)
Au  0.8844  0.5000  0.5308 (multiplicity 1)

Main lines, by intensity (15° ≤ 2θ ≤ 90°):
2theta	I/Imax	(hkl)
33.86	100	2 1 3
33.61	93	2 1 -3
39.57	85	0 2 0
18.52	53	2 0 0
40.29	46	0 0 6
43.64	43	3 1 -4
43.26	38	2 1 -5
21.60	37	1 1 0
44.06	36	3 1 4
36.76	36	3 1 -2
22.01	33	1 0 3
57.75	32	0 2 6

=====

# 5
# Ca2In4Au3
Computed X-ray powder pattern, Cu Kα X-rays. Input: a crystal structure in the Materials Project, relaxed with PBE.
No peak broadening, texture or thermal motion is included.

Structure:
Cell: 14.9555 4.5070 12.9868 Å, 90.00 90.00 90.00°
Space group Pnma (No. 62)
Asymmetric unit:
Ca  0.0195  0.2500  0.2131 (multiplicity 4)
Ca  0.2090  0.7500  0.5842 (multiplicity 4)
In  0.0046  0.2500  0.5867 (multiplicity 4)
In  0.0711  0.2500  0.9602 (multiplicity 4)
In  0.1805  0.7500  0.2837 (multiplicity 4)
In  0.1958  0.7500  0.8694 (multiplicity 4)
Au  0.1221  0.2500  0.4175 (multiplicity 4)
Au  0.1256  0.7500  0.0800 (multiplicity 4)
Au  0.1291  0.2500  0.7461 (multiplicity 4)

Main lines, by intensity (15° ≤ 2θ ≤ 90°):
2theta	I/Imax	(hkl)
38.68	100	5 1 2
40.02	87	0 2 0
23.77	87	4 0 0
41.79	85	6 0 3
31.06	82	4 1 0
59.24	60	6 2 3
21.70	43	1 1 1
34.57	34	1 1 4
20.86	32	0 1 1
36.71	29	5 1 1
80.04	27	2 2 9
40.54	24	1 1 5

=====

# 6
# Ca3InAu3
Computed X-ray powder pattern, Cu Kα X-rays. Input: a crystal structure in the Materials Project, relaxed with PBE.
No peak broadening, texture or thermal motion is included.

Structure:
Cell: 16.7958 4.6316 9.0537 Å, 90.00 90.00 90.00°
Space group Pnma (No. 62)
Asymmetric unit:
Ca  0.0555  0.2500  0.2495 (multiplicity 4)
Ca  0.1336  0.2500  0.6305 (multiplicity 4)
Ca  0.1553  0.7500  0.9746 (multiplicity 4)
In  0.2070  0.7500  0.3637 (multiplicity 4)
Au  0.0298  0.2500  0.9146 (multiplicity 4)
Au  0.0475  0.7500  0.4665 (multiplicity 4)
Au  0.2382  0.2500  0.1741 (multiplicity 4)

Main lines, by intensity (15° ≤ 2θ ≤ 90°):
2theta	I/Imax	(hkl)
34.44	100	5 1 1
38.88	70	0 2 0
22.31	59	2 0 2
21.16	52	4 0 0
22.20	46	1 1 1
39.09	44	3 1 3
35.50	39	0 1 3
24.04	36	2 1 1
31.93	35	3 1 2
42.66	26	7 0 2
35.92	23	1 1 3
59.06	22	7 2 2

=====

# 7
# CaIn2Au
Computed X-ray powder pattern, Cu Kα X-rays. Input: a crystal structure in the Materials Project, relaxed with PBE.
No peak broadening, texture or thermal motion is included.

Structure:
Cell: 4.6155 10.9579 7.7382 Å, 90.00 90.00 90.00°
Space group Cmcm (No. 63)
Asymmetric unit:
Ca  0.0000  0.0747  0.2500 (multiplicity 4)
In  0.0000  0.3651  0.0506 (multiplicity 8)
Au  0.0000  0.2118  0.7500 (multiplicity 4)

Main lines, by intensity (15° ≤ 2θ ≤ 90°):
2theta	I/Imax	(hkl)
39.09	100	2 0 0
40.92	66	1 1 3
31.25	63	1 1 2
33.36	62	1 3 1
16.18	51	0 2 0
23.87	36	1 1 1
19.86	34	0 2 1
62.67	28	1 7 0
40.34	27	0 4 2
34.74	25	0 4 1
76.03	23	2 6 3
62.31	20	0 6 3

=====

# 8
# CaLaAu2
Computed X-ray powder pattern, Cu Kα X-rays. Input: a crystal structure in the Materials Project, relaxed with PBE.
No peak broadening, texture or thermal motion is included.

Structure:
Cell: 7.4434 7.4434 7.4434 Å, 90.00 90.00 90.00°
Space group Fm-3m (No. 225)
Asymmetric unit:
Ca  0.0000  0.0000  0.0000 (multiplicity 4)
La  0.0000  0.0000  0.5000 (multiplicity 4)
Au  0.2500  0.2500  0.2500 (multiplicity 8)

Main lines, by intensity (15° ≤ 2θ ≤ 90°):
2theta	I/Imax	(hkl)
34.07	100	2 2 0
60.98	37	4 2 2
48.95	18	4 0 0
23.91	17	2 0 0
81.85	17	6 2 0
71.73	12	4 4 0
55.19	8	4 2 0
20.67	6	1 1 1
42.05	6	2 2 2
76.84	4	6 0 0
40.18	3	3 1 1
86.79	2	6 2 2

=====

# 9
# Ca5Au2N4
Computed X-ray powder pattern, Cu Kα X-rays. Input: a crystal structure in the Materials Project, relaxed with PBE.
No peak broadening, texture or thermal motion is included.

Structure:
Cell: 8.0169 8.0169 13.1902 Å, 90.00 90.00 90.00°
Space group P4/ncc (No. 130, origin choice 2)
Asymmetric unit:
Ca  0.0774  0.6328  0.0852 (multiplicity 16)
Ca  0.2500  0.2500  0.1315 (multiplicity 4)
Au  0.0921  0.5921  0.7500 (multiplicity 8)
N  0.0500  0.6384  0.9050 (multiplicity 16)

Main lines, by intensity (15° ≤ 2θ ≤ 90°):
2theta	I/Imax	(hkl)
32.22	100	2 1 3
25.75	79	2 1 1
35.41	34	3 1 0
15.63	21	1 1 0
42.55	21	2 1 5
66.29	16	5 2 3
41.06	15	0 0 6
51.39	15	4 1 3
55.31	13	3 1 6
22.18	13	2 0 0
38.03	12	3 1 2
47.25	12	4 1 1

=====

# 10
# Ca2AuN
Computed X-ray powder pattern, Cu Kα X-rays. Input: a crystal structure in the Materials Project, relaxed with PBE.
No peak broadening, texture or thermal motion is included.

Structure:
Cell: 3.5594 18.2885 4.9666 Å, 90.00 90.00 90.00°
Space group Cmcm (No. 63)
Asymmetric unit:
Ca  0.0000  0.1047  0.2500 (multiplicity 4)
Ca  0.0000  0.2836  0.2500 (multiplicity 4)
Au  0.0000  0.4589  0.2500 (multiplicity 4)
N  0.0000  0.3064  0.7500 (multiplicity 4)

Main lines, by intensity (15° ≤ 2θ ≤ 90°):
2theta	I/Imax	(hkl)
34.53	100	0 6 1
25.49	95	1 1 0
39.72	89	1 5 1
34.31	69	1 3 1
36.17	58	0 0 2
26.50	51	0 4 1
44.77	44	1 1 2
31.30	43	1 1 1
51.34	40	2 0 0
63.35	34	2 6 1
29.05	34	1 3 0
35.18	31	1 5 0